1.
Structure and theoretical powder diffraction line list of PmYPt4 (a crystal structure in Alexandria, relaxed with GGA-PBE; CuKα).
Neutral-atom scattering factors, no anomalous dispersion.

Most intense lines, 10° ≤ 2θ ≤ 90°, low angle first:
h k l, 2θ/deg, I_rel
1 1 1, 19.87, 27
3 1 1, 38.59, 100
2 2 2, 40.38, 57
5 1 1, 62.36, 33
4 4 0, 68.61, 31
6 2 2, 82.74, 22

Structural model:
```
data_PmYPt4
_cell_length_a 7.7376
_cell_length_b 7.7376
_cell_length_c 7.7376
_cell_angle_alpha 90.00
_cell_angle_beta 90.00
_cell_angle_gamma 90.00
_space_group_name_H-M_alt 'F -4 3 m'
_space_group_IT_number 216
_space_group_name_Hall 'F -4 2 3'
loop_
_atom_site_label
_atom_site_fract_x
_atom_site_fract_y
_atom_site_fract_z
Pm1 0.0000 0.0000 0.0000
Y1 0.2500 0.2500 0.2500
Pt1 0.1248 0.1248 0.6248
```

2.
Structure and theoretical powder diffraction line list of PmZn2FeH8 (a crystal structure in Alexandria, relaxed with GGA-PBE; CuKα).
Neutral-atom scattering factors, no anomalous dispersion.

Most intense lines, 10° ≤ 2θ ≤ 90°, low angle first:
h k l, 2θ/deg, I_rel
1 1 0, 28.53, 58
0 1 -1, 28.62, 100
1 1 1, 31.08, 53
-1 1 1, 31.94, 50
1 0 2, 40.42, 35
2 0 0, 41.96, 39

Structural model:
```
data_PmZn2FeH8
_cell_length_a 4.3091
_cell_length_b 4.6364
_cell_length_c 5.2147
_cell_angle_alpha 79.02
_cell_angle_beta 88.05
_cell_angle_gamma 89.46
_space_group_name_H-M_alt 'P -1'
_space_group_IT_number 2
_space_group_name_Hall '-P 1'
loop_
_atom_site_label
_atom_site_fract_x
_atom_site_fract_y
_atom_site_fract_z
Pm1 0.0000 0.0000 0.0000
Zn1 0.4985 0.6326 0.6976
Fe1 0.0000 0.5000 0.5000
H1 0.0766 0.5313 0.7946
H2 0.1842 0.1944 0.5399
H3 0.2557 0.7271 0.3634
H4 0.4941 0.1942 0.0526
```

3.
Structure and theoretical powder diffraction line list of SmMgPa2N5 (a crystal structure in Alexandria, relaxed with GGA-PBE; CuKα).
Neutral-atom scattering factors, no anomalous dispersion.

Most intense lines, 10° ≤ 2θ ≤ 90°, low angle first:
h k l, 2θ/deg, I_rel
0 0 2, 15.60, 61
1 1 0, 25.93, 42
1 1 2, 30.40, 53
0 4 2, 30.54, 100
1 3 0, 31.97, 52
1 7 2, 56.18, 43

Structural model:
```
data_SmMgPa2N5
_cell_length_a 3.5500
_cell_length_b 13.6615
_cell_length_c 11.3608
_cell_angle_alpha 90.00
_cell_angle_beta 90.00
_cell_angle_gamma 90.00
_space_group_name_H-M_alt 'C m c 21'
_space_group_IT_number 36
_space_group_name_Hall 'C 2c -2'
loop_
_atom_site_label
_atom_site_fract_x
_atom_site_fract_y
_atom_site_fract_z
Sm1 0.0000 0.2206 0.0000
Mg1 0.0000 0.4982 0.5063
Pa1 0.0000 0.1249 0.2563
Pa2 0.0000 0.1345 0.7171
N1 0.0000 0.0588 0.0801
N2 0.0000 0.2860 0.6643
N3 0.0000 0.2943 0.3444
N4 0.0000 0.3703 0.1033
N5 0.0000 0.4576 0.8234
```